[1]
Theoretical powder XRD pattern
Compound: Pm2Pr9Sc
Radiation: Cu Ka
Structure: a PBE-relaxed structure
No peak broadening, texture or thermal motion is included.

The 10 most intense peaks (5° ≤ 2θ ≤ 70°), in order of rising 2θ:
5.68 deg, intensity 2; 18.04 deg, intensity 1; 20.59 deg, intensity 1; 26.89 deg, intensity 1; 28.68 deg, intensity 1; 29.85 deg, intensity 100; 34.60 deg, intensity 51; 49.75 deg, intensity 36; 59.10 deg, intensity 42; 62.01 deg, intensity 12

```
Pm2Pr9Sc
1.0
5.1815 0.0000 0.0000
0.0000 5.1815 0.0000
0.0000 0.0000 15.5686
Pm Pr Sc
2 9 1
direct
0.0000 0.0000 0.1698 Pm
0.0000 0.0000 0.8302 Pm
0.0000 0.5000 0.0000 Pr
0.0000 0.5000 0.3387 Pr
0.0000 0.5000 0.6613 Pr
0.5000 0.0000 0.0000 Pr
0.5000 0.0000 0.3387 Pr
0.5000 0.0000 0.6613 Pr
0.5000 0.5000 0.1694 Pr
0.5000 0.5000 0.5000 Pr
0.5000 0.5000 0.8306 Pr
0.0000 0.0000 0.5000 Sc
```

***

[2]
Theoretical powder XRD pattern
Compound: PmPrSc4
Radiation: Cu Ka
Structure: a PBE-relaxed structure
No peak broadening, texture or thermal motion is included.

The 10 most intense peaks (5° ≤ 2θ ≤ 70°), in order of rising 2θ:
17.23 deg, intensity 26; 23.74 deg, intensity 52; 29.94 deg, intensity 21; 33.25 deg, intensity 34; 33.97 deg, intensity 46; 34.35 deg, intensity 100; 45.35 deg, intensity 13; 52.63 deg, intensity 17; 60.12 deg, intensity 18; 63.69 deg, intensity 19

```
PmPrSc4
1.0
5.3886 0.0000 0.0000
0.0000 10.2910 0.0000
0.0000 0.0000 6.0529
Pm Pr Sc
2 2 8
direct
0.2500 0.2500 0.0725 Pm
0.7500 0.7500 0.9275 Pm
0.2500 0.7500 0.5726 Pr
0.7500 0.2500 0.4274 Pr
0.2500 0.0777 0.5942 Sc
0.2500 0.4223 0.5942 Sc
0.2500 0.5772 0.0938 Sc
0.2500 0.9228 0.0938 Sc
0.7500 0.0772 0.9062 Sc
0.7500 0.4228 0.9062 Sc
0.7500 0.5777 0.4058 Sc
0.7500 0.9223 0.4058 Sc
```

***

[3]
Theoretical powder XRD pattern
Compound: Pm4Pr3Sc2
Radiation: Cu Ka
Structure: a PBE-relaxed structure
No peak broadening, texture or thermal motion is included.

The 10 most intense peaks (5° ≤ 2θ ≤ 70°), in order of rising 2θ:
28.75 deg, intensity 43; 30.15 deg, intensity 45; 31.79 deg, intensity 100; 33.39 deg, intensity 76; 42.15 deg, intensity 27; 50.94 deg, intensity 35; 53.52 deg, intensity 23; 60.34 deg, intensity 37; 61.31 deg, intensity 15; 62.29 deg, intensity 12

```
Pm4Pr3Sc2
1.0
3.5851 0.0000 0.0000
-1.7925 3.1048 0.0000
0.0000 0.0000 26.6801
Pm Pr Sc
4 3 2
direct
0.0000 0.0000 0.0000 Pm
0.0000 0.0000 0.2280 Pm
0.3333 0.6667 0.3395 Pm
0.3333 0.6667 0.5714 Pm
0.0000 0.0000 0.4547 Pr
0.3333 0.6667 0.1107 Pr
0.3333 0.6667 0.7779 Pr
0.0000 0.0000 0.6719 Sc
0.0000 0.0000 0.8797 Sc
```

***

[4]
Theoretical powder XRD pattern
Compound: Pm10PrSc4
Radiation: Cu Ka
Structure: a PBE-relaxed structure
No peak broadening, texture or thermal motion is included.

The 10 most intense peaks (5° ≤ 2θ ≤ 70°), in order of rising 2θ:
23.32 deg, intensity 33; 24.29 deg, intensity 73; 25.76 deg, intensity 23; 30.17 deg, intensity 17; 33.93 deg, intensity 100; 34.62 deg, intensity 56; 39.47 deg, intensity 19; 42.16 deg, intensity 27; 46.51 deg, intensity 19; 66.12 deg, intensity 16

```
Pm10PrSc4
1.0
-5.7941 5.7941 3.8150
5.7941 -5.7941 3.8150
5.7941 5.7941 -3.8150
Pm Pr Sc
10 1 4
direct
0.0319 0.8994 0.3609 Pm
0.1006 0.4615 0.1325 Pm
0.2500 0.7500 0.5000 Pm
0.3290 0.9681 0.8675 Pm
0.4615 0.3290 0.3609 Pm
0.5385 0.6710 0.6391 Pm
0.6710 0.0319 0.1325 Pm
0.7500 0.2500 0.5000 Pm
0.8994 0.5385 0.8675 Pm
0.9681 0.1006 0.6391 Pm
0.0000 0.0000 0.0000 Pr
0.2980 0.5697 0.8677 Sc
0.4303 0.2980 0.7283 Sc
0.5697 0.7020 0.2717 Sc
0.7020 0.4303 0.1323 Sc
```

***

[5]
Theoretical powder XRD pattern
Compound: Pm5Pr2Sc4
Radiation: Cu Ka
Structure: a PBE-relaxed structure
No peak broadening, texture or thermal motion is included.

The 10 most intense peaks (5° ≤ 2θ ≤ 70°), in order of rising 2θ:
25.40 deg, intensity 100; 28.30 deg, intensity 28; 28.75 deg, intensity 56; 29.06 deg, intensity 38; 31.21 deg, intensity 40; 32.46 deg, intensity 67; 33.06 deg, intensity 71; 37.81 deg, intensity 39; 43.20 deg, intensity 44; 46.89 deg, intensity 24

```
Pm5Pr2Sc4
1.0
-1.7312 4.4341 11.4637
1.7312 -4.4341 11.4637
1.7312 4.4341 -11.4637
Pm Pr Sc
5 2 4
direct
0.0000 0.0000 0.0000 Pm
0.0630 0.3617 0.7013 Pm
0.3397 0.6383 0.7013 Pm
0.6603 0.3617 0.2987 Pm
0.9370 0.6383 0.2987 Pm
0.2688 0.7688 0.5000 Pr
0.7312 0.2312 0.5000 Pr
0.3257 0.5000 0.8257 Sc
0.4072 0.9072 0.5000 Sc
0.5928 0.0928 0.5000 Sc
0.6743 0.5000 0.1743 Sc
```

***

[6]
Theoretical powder XRD pattern
Compound: Pm4Pr5Sc
Radiation: Cu Ka
Structure: a PBE-relaxed structure
No peak broadening, texture or thermal motion is included.

The 10 most intense peaks (5° ≤ 2θ ≤ 70°), in order of rising 2θ:
28.04 deg, intensity 5; 29.99 deg, intensity 100; 34.47 deg, intensity 36; 35.36 deg, intensity 14; 49.55 deg, intensity 13; 50.21 deg, intensity 21; 56.59 deg, intensity 4; 59.01 deg, intensity 29; 60.19 deg, intensity 10; 62.33 deg, intensity 11

```
Pm4Pr5Sc
1.0
3.6795 0.0000 0.0000
0.0000 3.6795 0.0000
0.0000 0.0000 25.3854
Pm Pr Sc
4 5 1
direct
0.0000 0.0000 0.1026 Pm
0.0000 0.0000 0.3079 Pm
0.0000 0.0000 0.6921 Pm
0.0000 0.0000 0.8974 Pm
0.5000 0.5000 0.0000 Pr
0.5000 0.5000 0.2053 Pr
0.5000 0.5000 0.4099 Pr
0.5000 0.5000 0.5901 Pr
0.5000 0.5000 0.7947 Pr
0.0000 0.0000 0.5000 Sc
```

***

[7]
Theoretical powder XRD pattern
Compound: Pm4Pr6Sc
Radiation: Cu Ka
Structure: a PBE-relaxed structure
No peak broadening, texture or thermal motion is included.

The 10 most intense peaks (5° ≤ 2θ ≤ 70°), in order of rising 2θ:
29.18 deg, intensity 100; 29.43 deg, intensity 7; 32.07 deg, intensity 47; 37.10 deg, intensity 11; 46.37 deg, intensity 11; 49.83 deg, intensity 10; 56.40 deg, intensity 11; 58.47 deg, intensity 11; 59.55 deg, intensity 20; 62.07 deg, intensity 12

```
Pm4Pr6Sc
1.0
8.8249 0.0000 0.0000
0.0000 8.8249 0.0000
0.0000 0.0000 9.6946
Pm Pr Sc
8 12 2
direct
0.1478 0.3522 0.2500 Pm
0.1478 0.3522 0.7500 Pm
0.3522 0.8522 0.2500 Pm
0.3522 0.8522 0.7500 Pm
0.6478 0.1478 0.2500 Pm
0.6478 0.1478 0.7500 Pm
0.8522 0.6478 0.2500 Pm
0.8522 0.6478 0.7500 Pm
0.0000 0.0000 0.1701 Pr
0.0000 0.0000 0.8299 Pr
0.1471 0.6578 0.5000 Pr
0.1578 0.6471 0.0000 Pr
0.3422 0.1471 0.5000 Pr
0.3529 0.1578 0.0000 Pr
0.5000 0.5000 0.3299 Pr
0.5000 0.5000 0.6701 Pr
0.6471 0.8422 0.0000 Pr
0.6578 0.8529 0.5000 Pr
0.8422 0.3529 0.0000 Pr
0.8529 0.3422 0.5000 Pr
0.0000 0.0000 0.5000 Sc
0.5000 0.5000 0.0000 Sc
```

***

[8]
Theoretical powder XRD pattern
Compound: Pm6PrSc6
Radiation: Cu Ka
Structure: a PBE-relaxed structure
No peak broadening, texture or thermal motion is included.

The 10 most intense peaks (5° ≤ 2θ ≤ 70°), in order of rising 2θ:
26.38 deg, intensity 75; 27.90 deg, intensity 100; 29.62 deg, intensity 69; 31.17 deg, intensity 66; 32.49 deg, intensity 60; 32.95 deg, intensity 50; 35.36 deg, intensity 58; 37.52 deg, intensity 28; 40.08 deg, intensity 41; 58.58 deg, intensity 32

```
Pm6PrSc6
1.0
6.4062 0.0000 0.0000
0.0000 10.8655 0.0000
-2.8456 0.0000 5.7441
Pm Pr Sc
6 1 6
direct
0.0000 0.1678 0.0000 Pm
0.0000 0.8322 0.0000 Pm
0.2898 0.0000 0.7108 Pm
0.3515 0.5000 0.6460 Pm
0.6485 0.5000 0.3540 Pm
0.7102 0.0000 0.2892 Pm
0.0000 0.5000 0.0000 Pr
0.0000 0.2692 0.5000 Sc
0.0000 0.7308 0.5000 Sc
0.5000 0.2151 0.5000 Sc
0.5000 0.2700 0.0000 Sc
0.5000 0.7300 0.0000 Sc
0.5000 0.7849 0.5000 Sc
```

***

[9]
Theoretical powder XRD pattern
Compound: Pm4PrSc3
Radiation: Cu Ka
Structure: a PBE-relaxed structure
No peak broadening, texture or thermal motion is included.

The 10 most intense peaks (5° ≤ 2θ ≤ 70°), in order of rising 2θ:
21.00 deg, intensity 44; 24.23 deg, intensity 62; 25.96 deg, intensity 82; 31.24 deg, intensity 50; 33.05 deg, intensity 55; 33.96 deg, intensity 94; 35.05 deg, intensity 100; 40.87 deg, intensity 31; 45.17 deg, intensity 25; 58.84 deg, intensity 35

```
Pm4PrSc3
1.0
27.1739 0.0000 0.0000
0.0000 3.4604 0.0000
-0.4013 0.0000 5.7260
Pm Pr Sc
8 2 6
direct
0.1016 0.0000 0.0317 Pm
0.1882 0.0000 0.5632 Pm
0.3118 0.5000 0.4368 Pm
0.3984 0.5000 0.9683 Pm
0.6016 0.5000 0.0317 Pm
0.6882 0.5000 0.5632 Pm
0.8118 0.0000 0.4368 Pm
0.8984 0.0000 0.9683 Pm
0.0000 0.0000 0.5000 Pr
0.5000 0.5000 0.5000 Pr
0.0000 0.5000 0.0000 Sc
0.2063 0.5000 0.0739 Sc
0.2937 0.0000 0.9261 Sc
0.5000 0.0000 0.0000 Sc
0.7063 0.0000 0.0739 Sc
0.7937 0.5000 0.9261 Sc
```

***

[10]
Theoretical powder XRD pattern
Compound: Pm2Pr3Sc2
Radiation: Cu Ka
Structure: a PBE-relaxed structure
No peak broadening, texture or thermal motion is included.

The 10 most intense peaks (5° ≤ 2θ ≤ 70°), in order of rising 2θ:
20.34 deg, intensity 13; 24.31 deg, intensity 16; 30.01 deg, intensity 49; 31.08 deg, intensity 100; 31.76 deg, intensity 41; 32.66 deg, intensity 41; 32.94 deg, intensity 60; 45.76 deg, intensity 17; 48.35 deg, intensity 24; 62.33 deg, intensity 13

```
Pm2Pr3Sc2
1.0
3.5490 0.0000 0.0000
1.7716 8.3533 0.0000
0.0049 4.1420 7.6638
Pm Pr Sc
2 3 2
direct
0.1308 0.2376 0.3159 Pm
0.8692 0.7624 0.6841 Pm
0.2037 0.0909 0.7941 Pr
0.5000 0.5000 0.5000 Pr
0.7963 0.9091 0.2059 Pr
0.4308 0.6399 0.0672 Sc
0.5692 0.3601 0.9328 Sc
```

***

[11]
Theoretical powder XRD pattern
Compound: Pm3Pr4Sc
Radiation: Cu Ka
Structure: a PBE-relaxed structure
No peak broadening, texture or thermal motion is included.

The 10 most intense peaks (5° ≤ 2θ ≤ 70°), in order of rising 2θ:
28.06 deg, intensity 16; 28.16 deg, intensity 8; 30.41 deg, intensity 25; 32.03 deg, intensity 100; 41.88 deg, intensity 16; 49.79 deg, intensity 13; 55.05 deg, intensity 14; 59.29 deg, intensity 7; 59.46 deg, intensity 15; 60.30 deg, intensity 11

```
Pm3Pr4Sc
1.0
11.7563 0.0000 0.0000
0.0000 7.3529 0.0000
0.0000 0.0000 6.3371
Pm Pr Sc
6 8 2
direct
0.0000 0.1227 0.0000 Pm
0.2494 0.1190 0.3280 Pm
0.2506 0.8810 0.8280 Pm
0.5000 0.8773 0.5000 Pm
0.7494 0.8810 0.8280 Pm
0.7506 0.1190 0.3280 Pm
0.0000 0.3699 0.5056 Pr
0.0000 0.6297 0.9877 Pr
0.2418 0.6305 0.3374 Pr
0.2582 0.3695 0.8374 Pr
0.5000 0.3703 0.4877 Pr
0.5000 0.6301 0.0056 Pr
0.7418 0.3695 0.8374 Pr
0.7582 0.6305 0.3374 Pr
0.0000 0.8813 0.4956 Sc
0.5000 0.1187 0.9956 Sc
```

***

[12]
Theoretical powder XRD pattern
Compound: Pm2Pr7Sc2
Radiation: Cu Ka
Structure: a PBE-relaxed structure
No peak broadening, texture or thermal motion is included.

The 10 most intense peaks (5° ≤ 2θ ≤ 70°), in order of rising 2θ:
9.15 deg, intensity 13; 25.59 deg, intensity 13; 27.45 deg, intensity 23; 31.59 deg, intensity 100; 31.68 deg, intensity 19; 31.97 deg, intensity 42; 34.54 deg, intensity 15; 35.53 deg, intensity 13; 45.38 deg, intensity 14; 56.87 deg, intensity 15

```
Pm2Pr7Sc2
1.0
5.6577 0.0000 0.0000
0.0000 9.6628 0.0000
-0.0002 0.0000 6.9620
Pm Pr Sc
2 7 2
direct
0.0006 0.0000 0.2213 Pm
0.9994 0.0000 0.7787 Pm
0.0000 0.3114 0.5000 Pr
0.0000 0.3453 0.0000 Pr
0.0000 0.6547 0.0000 Pr
0.0000 0.6886 0.5000 Pr
0.5000 0.0000 0.5000 Pr
0.5000 0.1749 0.0000 Pr
0.5000 0.8251 0.0000 Pr
0.5003 0.5000 0.2341 Sc
0.4997 0.5000 0.7659 Sc
```

***

[13]
Theoretical powder XRD pattern
Compound: Pm3Pr5Sc2
Radiation: Cu Ka
Structure: a PBE-relaxed structure
No peak broadening, texture or thermal motion is included.

The 10 most intense peaks (5° ≤ 2θ ≤ 70°), in order of rising 2θ:
21.69 deg, intensity 24; 29.76 deg, intensity 72; 30.81 deg, intensity 100; 32.97 deg, intensity 39; 36.83 deg, intensity 15; 44.19 deg, intensity 18; 49.19 deg, intensity 18; 57.54 deg, intensity 17; 60.50 deg, intensity 19; 64.26 deg, intensity 15

```
Pm3Pr5Sc2
1.0
9.3076 0.0000 0.0000
-2.9678 8.8253 0.0000
-3.1604 -4.4076 8.1954
Pm Pr Sc
6 10 4
direct
0.0304 0.2788 0.0567 Pm
0.2306 0.7694 0.7500 Pm
0.2788 0.0304 0.5567 Pm
0.7212 0.9696 0.4433 Pm
0.7694 0.2306 0.2500 Pm
0.9696 0.7212 0.9433 Pm
0.0270 0.9729 0.7500 Pr
0.1220 0.3782 0.7432 Pr
0.2766 0.7234 0.2500 Pr
0.3781 0.1219 0.2431 Pr
0.4829 0.5172 0.2503 Pr
0.5171 0.4828 0.7497 Pr
0.6219 0.8781 0.7569 Pr
0.7234 0.2766 0.7500 Pr
0.8780 0.6218 0.2568 Pr
0.9730 0.0271 0.2500 Pr
0.2179 0.4737 0.4415 Sc
0.4738 0.2180 0.9415 Sc
0.5262 0.7820 0.0585 Sc
0.7821 0.5263 0.5585 Sc
```